# 1
# Li3SnF8
Computed XRD peak list, Cu Ka. Input: DFT lattice parameters and positions (GGA-PBE).
Intensities are scaled so that the largest is 100.

Peak list (6 most intense, 15° ≤ 2θ ≤ 90°, in order of rising 2θ)
- hkl 1 0 0, 17.52°, intensity 100
- hkl 1 1 0, 24.88°, intensity 77
- hkl 1 1 1, 30.59°, intensity 42
- hkl 2 1 0, 39.82°, intensity 39
- hkl 2 1 1, 43.81°, intensity 35
- hkl 2 2 0, 51.03°, intensity 62

Crystal structure
Lattice parameters (Å, degrees): 5.0618 5.0618 5.0618 90.00 90.00 90.00
Space group Pm-3m (No. 221)
One atom of each set of equivalent atoms:
Li 0.0000 0.0000 0.5000 x3
Sn 0.5000 0.5000 0.5000 x1
F 0.2584 0.2584 0.2584 x8

***

# 2
# Ag8S
Computed XRD peak list, Cu Ka. Input: DFT lattice parameters and positions (GGA-PBE).
Intensities are scaled so that the largest is 100.

Peak list (6 most intense, 15° ≤ 2θ ≤ 90°, in order of rising 2θ)
- hkl 2 2 2, 34.11°, intensity 100
- hkl 4 0 0, 39.59°, intensity 44
- hkl 4 2 2, 49.01°, intensity 8
- hkl 4 4 0, 57.24°, intensity 29
- hkl 6 2 2, 68.34°, intensity 28
- hkl 4 4 4, 71.84°, intensity 7

Crystal structure
Lattice parameters (Å, degrees): 9.1047 9.1047 9.1047 90.00 90.00 90.00
Space group F-43m (No. 216)
One atom of each set of equivalent atoms:
Ag 0.1042 0.1042 0.3958 x16
Ag 0.1222 0.1222 0.8778 x16
S 0.2500 0.2500 0.2500 x4

***

# 3
# Nd4NiNCl2
Computed XRD peak list, Cu Ka. Input: DFT lattice parameters and positions (GGA-PBE).
Intensities are scaled so that the largest is 100.

Peak list (6 most intense, 15° ≤ 2θ ≤ 90°, in order of rising 2θ)
- hkl 2 0 0, 27.20°, intensity 24
- hkl 1 1 -1, 28.28°, intensity 52
- hkl 2 0 -2, 30.70°, intensity 58
- hkl 1 1 1, 31.82°, intensity 100
- hkl 1 1 -3, 43.23°, intensity 28
- hkl 3 1 -1, 46.33°, intensity 37

Crystal structure
Lattice parameters (Å, degrees): 6.8914 3.7552 7.5767 90.00 107.94 90.00
Space group P2/m (No. 10)
One atom of each set of equivalent atoms:
Nd 0.2049 0.0000 0.1953 x2
Nd 0.2538 0.5000 0.7987 x2
Ni 0.5000 0.0000 0.0000 x1
N 0.0000 0.5000 0.0000 x1
Cl 0.0000 0.0000 0.5000 x1
Cl 0.5000 0.5000 0.5000 x1

***

# 4
# Gd3S4
Computed XRD peak list, Cu Ka. Input: DFT lattice parameters and positions (GGA-PBE).
Intensities are scaled so that the largest is 100.

Peak list (6 most intense, 15° ≤ 2θ ≤ 90°, in order of rising 2θ)
- hkl 2 1 1, 25.91°, intensity 100
- hkl 3 1 0, 33.65°, intensity 88
- hkl 3 2 1, 40.06°, intensity 53
- hkl 4 2 0, 48.33°, intensity 38
- hkl 4 3 1, 55.64°, intensity 30
- hkl 6 1 1, 68.70°, intensity 35

Crystal structure
Lattice parameters (Å, degrees): 8.4225 8.4225 8.4225 90.00 90.00 90.00
Space group I-43d (No. 220)
One atom of each set of equivalent atoms:
Gd 0.0000 0.2500 0.3750 x12
S 0.0723 0.0723 0.0723 x16

***

# 5
# SrAg
Computed XRD peak list, Cu Ka. Input: DFT lattice parameters and positions (GGA-PBE).
Intensities are scaled so that the largest is 100.

Peak list (6 most intense, 15° ≤ 2θ ≤ 90°, in order of rising 2θ)
- hkl 1 0 0, 23.40°, intensity 67
- hkl 0 1 1, 25.45°, intensity 23
- hkl 0 1 2, 30.87°, intensity 100
- hkl 1 0 3, 38.37°, intensity 79
- hkl 1 1 0, 41.12°, intensity 60
- hkl 1 1 5, 67.53°, intensity 26

Crystal structure
Lattice parameters (Å, degrees): 4.3905 4.3905 8.9439 90.00 90.00 120.00
Space group P-3m1 (No. 164)
One atom of each set of equivalent atoms:
Sr 0.3333 0.6667 0.2000 x2
Ag 0.3333 0.6667 0.5745 x2

***

# 6
# La9Sm4Tm
Computed XRD peak list, Cu Ka. Input: DFT lattice parameters and positions (GGA-PBE).
Intensities are scaled so that the largest is 100.

Peak list (6 most intense, 15° ≤ 2θ ≤ 90°, in order of rising 2θ)
- hkl 0 0 4, 30.77°, intensity 38
- hkl 2 0 3, 30.88°, intensity 25
- hkl 2 1 2, 31.21°, intensity 100
- hkl 3 0 1, 31.75°, intensity 37
- hkl 5 0 2, 55.00°, intensity 31
- hkl 3 3 4, 64.12°, intensity 25

Crystal structure
Lattice parameters (Å, degrees): 10.0635 10.0635 11.6218 90.00 90.00 120.00
Space group P6_3/mmc (No. 194)
One atom of each set of equivalent atoms:
La 0.0786 0.5393 0.2500 x6
La 0.2074 0.4149 0.5300 x12
Sm 0.0000 0.0000 0.0000 x2
Sm 0.1118 0.2237 0.2500 x6
Tm 0.3333 0.6667 0.7500 x2

***

# 7
# BiPb2Cl7
Computed XRD peak list, Cu Ka. Input: DFT lattice parameters and positions (GGA-PBE).
Intensities are scaled so that the largest is 100.

Peak list (6 most intense, 15° ≤ 2θ ≤ 90°, in order of rising 2θ)
- hkl 2 0 -2, 16.59°, intensity 65
- hkl 1 1 -2, 19.85°, intensity 38
- hkl 3 1 -2, 21.53°, intensity 100
- hkl 1 1 2, 25.88°, intensity 73
- hkl 4 0 0, 26.17°, intensity 44
- hkl 4 2 0, 33.78°, intensity 46

Crystal structure
Lattice parameters (Å, degrees): 16.1300 8.4661 10.8266 90.00 122.38 90.00
Space group C2/c (No. 15)
One atom of each set of equivalent atoms:
Bi 0.0000 0.0998 0.2500 x4
Pb 0.2379 0.4765 0.8889 x8
Cl 0.0000 0.4011 0.2500 x4
Cl 0.0892 0.1481 0.5432 x8
Cl 0.1232 0.2312 0.9286 x8
Cl 0.1963 0.1284 0.3292 x8